Calculated powder diffractogram
Compound: CsCrGaF6
Radiation: Cu Kα (weighted mean of Kα1 and Kα2)
Structure: a PBE+U-relaxed structure
Lines closer than 0.1° are merged.

Atomic structure:
```
data_CsCrGaF6
_space_group_name_H-M_alt 'I m m a'
_space_group_IT_number 74
_space_group_name_Hall '-I 2b 2'
_cell_length_a 7.3771
_cell_length_b 7.6312
_cell_length_c 10.6954
_cell_angle_alpha 90.00
_cell_angle_beta 90.00
_cell_angle_gamma 90.00
loop_
_atom_site_label
_atom_site_fract_x
_atom_site_fract_y
_atom_site_fract_z
Cs1 0.0000 0.2500 0.1304
Cr1 0.2500 0.2500 0.7500
Ga1 0.0000 0.0000 0.5000
F1 0.0000 0.2500 0.4559
F2 0.0000 0.2500 0.8258
F3 0.1836 0.0334 0.6227
```

The 10 most intense peaks (10° ≤ 2θ ≤ 80°), sorted by position:
hkl  2theta  d_spacing  I_rel
1 1 2  23.6  3.766  43
2 0 0  24.1  3.689  16
1 2 1  27.6  3.231  100
1 0 3  27.8  3.210  42
2 1 1  28.1  3.172  50
0 2 2  28.7  3.106  20
2 0 2  29.4  3.036  16
3 0 3  44.8  2.024  21
0 4 0  47.7  1.908  16
2 2 4  48.3  1.883  46